Starting from the GGA-PBE geometry in the Materials Project, the X-ray diffraction stick pattern of Ba4NaMgCuC2O10 was calculated for Cu Kα (λ = 1.5418 Å).
Kinematic intensities with the Lorentz-polarization factor, no thermal factor.

Structure:
a = 5.7878 Å, b = 5.7878 Å, c = 19.7696 Å
α = 90.00°, β = 90.00°, γ = 90.00°
Space group I-4 (No. 82)
One atom of each set of equivalent atoms:
1 Ba 0.0000 0.0000 0.1194 [4 per cell]
2 Ba 0.0000 0.0000 0.3154 [4 per cell]
3 Na 0.0000 0.5000 0.7500 [2 per cell]
4 Mg 0.0000 0.0000 0.5000 [2 per cell]
5 Cu 0.0000 0.5000 0.2500 [2 per cell]
6 C 0.0000 0.5000 0.0141 [4 per cell]
7 O 0.0000 0.5000 0.5509 [4 per cell]
8 O 0.0265 0.3071 0.4513 [8 per cell]
9 O 0.1829 0.2017 0.2123 [8 per cell]

Top 8 peaks for 5° ≤ 2θ ≤ 70°, in order of falling intensity:
2θ/deg  Rel. int.
27.3  100
30.9  75
41.7  72
28.3  66
21.7  61
8.9  47
53.4  31
44.3  30